Starting from a structure optimized by DFT (GGA-PBE), the X-ray powder pattern of Li7CuHg2 was simulated for copper Kα.
Neutral-atom scattering factors, no anomalous dispersion.

Cell and atoms:
```
Li7CuHg2
1.0
4.442 0.000 0.000
-2.221 3.847 0.000
0.000 0.000 10.547
Li Cu Hg
7 1 2
Direct
0.000 0.000 0.000
0.000 0.000 0.238
0.000 0.000 0.490
0.333 0.667 0.070
0.333 0.667 0.630
0.667 0.333 0.417
0.667 0.333 0.869
0.667 0.333 0.150
0.000 0.000 0.746
0.333 0.667 0.337
```

Top 6 peaks for 10 to 90 degrees two-theta, in order of falling intensity:
(1 0 1), 24.63°, rel. 100.0
(0 1 2), 28.72°, rel. 37.6
(0 0 2), 16.81°, rel. 33.9
(1 0 3), 34.56°, rel. 32.4
(0 1 4), 41.52°, rel. 31.0
(1 1 0), 40.62°, rel. 29.4